For Tm2Fe12P7, DFT lattice parameters and positions (PBE) gives the computed X-ray powder pattern in this record (copper Kα).
Intensities are scaled so that the largest is 100.

Structure:
a b c (Å): 8.9284 8.9284 3.6145
angles (deg): 90.00 90.00 120.00
Space group P-6 (No. 174)
One atom of each set of equivalent atoms:
Tm  0.0000  0.0000  0.0000 [1 per cell]
Tm  0.3333  0.6667  0.5000 [1 per cell]
Fe  0.0389  0.7613  0.5000 [3 per cell]
Fe  0.0993  0.3819  0.0000 [3 per cell]
Fe  0.4505  0.2376  0.0000 [3 per cell]
Fe  0.5104  0.0578  0.5000 [3 per cell]
P  0.0696  0.6230  0.0000 [3 per cell]
P  0.2551  0.0376  0.5000 [3 per cell]
P  0.6667  0.3333  0.5000 [1 per cell]

Principal peaks in the range 5 to 70 degrees two-theta, sorted by position:
d/Å  I (rel.)
3.274  15
2.577  12
2.273  100
1.807  17
1.687  16
1.592  12